This entry pairs a crystal structure of La15ErMg4 with its simulated powder diffractogram. Radiation: Cu Kα, 1.54184 Å. Structure: a DFT-relaxed cell (PBE, Alexandria).
Kinematic intensities with the Lorentz-polarization factor, no thermal factor.

Principal peaks in the range 2θ = 10–90°, by angle:
- 17.25 deg, intensity 9.2
- 24.50 deg, intensity 8.1
- 30.12 deg, intensity 100.0
- 34.92 deg, intensity 50.5
- 50.21 deg, intensity 35.9
- 59.63 deg, intensity 28.5
- 59.75 deg, intensity 14.0
- 62.62 deg, intensity 12.2
- 81.60 deg, intensity 5.8
- 81.70 deg, intensity 11.4
- 84.18 deg, intensity 5.4
- 84.23 deg, intensity 5.4

Atomic structure:
```
20
Lattice="5.143 0.000 0.000 0.000 5.143 0.000 0.000 0.000 25.652" Properties=species:S:1:pos:R:3 pbc="T T T"
La 0.000 0.000 0.000
La 0.000 0.000 5.146
La 0.000 0.000 10.283
La 0.000 0.000 15.369
La 0.000 0.000 20.506
La 0.000 2.572 2.599
La 0.000 2.572 7.730
La 0.000 2.572 12.826
La 0.000 2.572 17.923
La 0.000 2.572 23.054
La 2.572 0.000 2.599
La 2.572 0.000 7.730
La 2.572 0.000 12.826
La 2.572 0.000 17.923
La 2.572 0.000 23.054
Er 2.572 2.572 0.000
Mg 2.572 2.572 5.196
Mg 2.572 2.572 10.280
Mg 2.572 2.572 15.372
Mg 2.572 2.572 20.456
```

***

This entry pairs a crystal structure of La5ErMg with its simulated powder diffractogram. Radiation: Cu Kα, 1.54184 Å. Structure: a DFT-relaxed cell (PBE, Alexandria).
Kinematic intensities with the Lorentz-polarization factor, no thermal factor.

Principal peaks in the range 2θ = 10–90°, by angle:
- 10.18 deg, intensity 20.5
- 19.14 deg, intensity 14.2
- 30.08 deg, intensity 82.5
- 30.20 deg, intensity 90.7
- 32.43 deg, intensity 100.0
- 43.05 deg, intensity 20.1
- 52.65 deg, intensity 20.9
- 53.50 deg, intensity 18.2
- 54.94 deg, intensity 22.3
- 61.84 deg, intensity 19.1
- 62.06 deg, intensity 20.6
- 78.53 deg, intensity 11.4

Atomic structure:
```
14
Lattice="5.250 -7.750 0.000 5.250 7.750 0.000 0.000 0.000 5.940" Properties=species:S:1:pos:R:3 pbc="T T T"
La 3.304 4.843 1.485
La 5.250 4.612 4.455
La 3.165 1.270 1.485
La 7.196 4.843 1.485
La 3.165 -1.270 4.455
La 7.334 1.270 1.485
La 3.304 -4.843 4.455
La 7.334 -1.270 4.455
La 5.250 -4.612 1.485
La 7.196 -4.843 4.455
Er 5.250 1.307 4.455
Er 5.250 -1.307 1.485
Mg 0.000 0.000 0.000
Mg 0.000 0.000 2.970
```

***

This entry pairs a crystal structure of La3Er2Mg2 with its simulated powder diffractogram. Radiation: Cu Kα, 1.54184 Å. Structure: a DFT-relaxed cell (PBE, Alexandria).
Kinematic intensities with the Lorentz-polarization factor, no thermal factor.

Principal peaks in the range 2θ = 10–90°, by angle:
- 16.89 deg, intensity 22.2
- 26.43 deg, intensity 25.0
- 29.54 deg, intensity 13.9
- 30.58 deg, intensity 62.1
- 31.25 deg, intensity 100.0
- 32.45 deg, intensity 31.4
- 33.28 deg, intensity 43.8
- 34.16 deg, intensity 32.7
- 35.91 deg, intensity 38.1
- 48.43 deg, intensity 20.1
- 58.19 deg, intensity 24.1
- 61.91 deg, intensity 28.2

Atomic structure:
```
14
Lattice="5.385 0.000 0.000 0.000 23.650 0.000 0.000 0.000 3.519" Properties=species:S:1:pos:R:3 pbc="T T T"
La 0.000 0.000 0.000
La 0.000 3.543 0.000
La 0.000 20.107 0.000
La 2.692 8.282 0.000
La 2.692 11.825 0.000
La 2.692 15.368 0.000
Er 0.000 6.796 1.759
Er 0.000 16.854 1.759
Er 2.692 5.029 1.759
Er 2.692 18.621 1.759
Mg 0.000 10.162 1.759
Mg 0.000 13.488 1.759
Mg 2.692 1.663 1.759
Mg 2.692 21.987 1.759
```

***

This entry pairs a crystal structure of La14ErMg with its simulated powder diffractogram. Radiation: Cu Kα, 1.54184 Å. Structure: a DFT-relaxed cell (PBE, Alexandria).
Kinematic intensities with the Lorentz-polarization factor, no thermal factor.

Principal peaks in the range 2θ = 10–90°, by angle:
- 29.68 deg, intensity 100.0
- 34.15 deg, intensity 17.2
- 34.53 deg, intensity 33.5
- 49.36 deg, intensity 24.2
- 49.64 deg, intensity 12.0
- 58.41 deg, intensity 14.5
- 58.91 deg, intensity 28.5
- 61.63 deg, intensity 12.4
- 80.13 deg, intensity 11.6
- 80.57 deg, intensity 5.8
- 82.31 deg, intensity 5.4
- 83.17 deg, intensity 5.4

Atomic structure:
```
16
Lattice="10.501 0.000 0.000 0.000 5.193 5.196 0.000 -5.193 5.196" Properties=species:S:1:pos:R:3 pbc="T T T"
La 0.000 0.000 0.000
La 0.000 -2.583 2.592
La 0.000 2.583 2.592
La 0.000 0.000 5.191
La 2.642 0.000 7.779
La 2.658 -2.587 5.191
La 2.658 2.587 5.191
La 2.672 0.000 2.605
La 5.250 -2.581 7.784
La 5.250 2.581 7.784
La 7.829 0.000 2.605
La 7.843 -2.587 5.191
La 7.843 2.587 5.191
La 7.859 0.000 7.779
Er 5.250 0.000 10.384
Mg 5.250 0.000 5.190
```